Entry 1:
Starting from a crystal structure in the Materials Project, relaxed with GGA-PBE, the X-ray diffraction stick pattern of B2AsP was calculated for CuKα.
Lines closer than 0.1° are merged.

Most intense lines, 2θ from 15° to 90°, in order of falling intensity:
- 33.15°, rel. 100, (1 0 1)
- 55.53°, rel. 40, (2 0 0)
- 66.22°, rel. 38, (2 1 1)
- 38.46°, rel. 35, (0 0 2)
- 18.94°, rel. 15, (0 0 1)
- 26.95°, rel. 15, (1 0 0)
- 43.22°, rel. 9, (1 1 1)
- 69.57°, rel. 8, (2 0 2)
- 47.56°, rel. 7, (1 0 2)
- 59.22°, rel. 4, (0 0 3)

Cell and atoms:
Lattice parameters (Å, degrees): 3.309 3.309 4.685 90.00 90.00 90.00
Fractional coordinates of all 4 atoms:
B  0.000  0.500  0.236
B  0.500  0.000  0.764
As  0.500  0.500  0.500
P  0.000  0.000  0.000


Entry 2:
Starting from a crystal structure in the Materials Project, relaxed with GGA-PBE, the X-ray diffraction stick pattern of Sc8B8As3Rh20 was calculated for CuKα.
Lines closer than 0.1° are merged.

Most intense lines, 2θ from 15° to 90°, in order of falling intensity:
- 42.18°, rel. 100, (1 1 -6)
- 40.41°, rel. 66, (4 0 -2)
- 35.79°, rel. 48, (1 1 -4)
- 28.19°, rel. 48, (0 1 0)
- 45.66°, rel. 44, (3 1 4)
- 44.00°, rel. 40, (2 0 -8)
- 35.16°, rel. 33, (3 0 -4)
- 79.64°, rel. 31, (7 1 -2)
- 39.73°, rel. 27, (2 1 4)
- 50.00°, rel. 24, (4 1 2)

Cell and atoms:
Lattice parameters (Å, degrees): 9.203 3.165 18.408 90.00 90.01 90.00
Fractional coordinates of all 39 atoms:
Sc  0.173  0.000  0.161
Sc  0.174  0.000  0.666
Sc  0.325  0.000  0.412
Sc  0.326  0.000  0.914
Sc  0.674  0.000  0.086
Sc  0.675  0.000  0.588
Sc  0.826  0.000  0.334
Sc  0.827  0.000  0.839
B  0.117  0.000  0.821
B  0.122  0.000  0.310
B  0.360  0.000  0.057
B  0.377  0.000  0.562
B  0.623  0.000  0.438
B  0.640  0.000  0.943
B  0.878  0.000  0.690
B  0.883  0.000  0.179
As  0.000  0.000  0.500
As  0.499  0.000  0.753
As  0.501  0.000  0.247
Rh  0.001  0.500  0.249
Rh  0.068  0.500  0.897
Rh  0.071  0.500  0.392
Rh  0.207  0.500  0.034
Rh  0.216  0.500  0.537
Rh  0.283  0.500  0.788
Rh  0.285  0.500  0.287
Rh  0.425  0.500  0.141
Rh  0.428  0.500  0.642
Rh  0.500  0.500  0.000
Rh  0.500  0.500  0.500
Rh  0.572  0.500  0.358
Rh  0.575  0.500  0.859
Rh  0.715  0.500  0.713
Rh  0.717  0.500  0.212
Rh  0.784  0.500  0.463
Rh  0.793  0.500  0.966
Rh  0.929  0.500  0.608
Rh  0.932  0.500  0.103
Rh  0.999  0.500  0.751


Entry 3:
Starting from a crystal structure in the Materials Project, relaxed with GGA-PBE, the X-ray diffraction stick pattern of BTe2As was calculated for CuKα.
Lines closer than 0.1° are merged.

Most intense lines, 2θ from 15° to 90°, in order of falling intensity:
- 36.51°, rel. 100, (2 2 0)
- 65.72°, rel. 35, (4 2 2)
- 25.59°, rel. 30, (2 0 0)
- 52.59°, rel. 17, (4 0 0)
- 88.93°, rel. 16, (6 2 0)
- 59.38°, rel. 12, (4 2 0)
- 77.58°, rel. 11, (4 4 0)
- 22.12°, rel. 10, (1 1 1)
- 45.12°, rel. 9, (2 2 2)
- 43.10°, rel. 6, (3 1 1)

Cell and atoms:
Lattice parameters (Å, degrees): 6.961 6.961 6.961 90.00 90.00 90.00
Fractional coordinates of all 16 atoms:
B  0.000  0.000  0.000
B  0.000  0.500  0.500
B  0.500  0.000  0.500
B  0.500  0.500  0.000
Te  0.250  0.250  0.250
Te  0.250  0.250  0.750
Te  0.250  0.750  0.250
Te  0.250  0.750  0.750
Te  0.750  0.250  0.250
Te  0.750  0.250  0.750
Te  0.750  0.750  0.250
Te  0.750  0.750  0.750
As  0.000  0.000  0.500
As  0.000  0.500  0.000
As  0.500  0.000  0.000
As  0.500  0.500  0.500


Entry 4:
Starting from a crystal structure in the Materials Project, relaxed with GGA-PBE, the X-ray diffraction stick pattern of Ba5As3 was calculated for CuKα.
Lines closer than 0.1° are merged.

Most intense lines, 2θ from 15° to 90°, in order of falling intensity:
- 29.54°, rel. 100, (1 1 2)
- 30.77°, rel. 83, (2 1 1)
- 32.42°, rel. 50, (3 0 0)
- 28.51°, rel. 29, (2 1 0)
- 45.32°, rel. 28, (2 1 3)
- 25.23°, rel. 25, (1 0 2)
- 44.43°, rel. 23, (2 2 2)
- 57.86°, rel. 20, (3 0 4)
- 49.85°, rel. 19, (4 0 2)
- 22.79°, rel. 16, (0 0 2)

Cell and atoms:
Lattice parameters (Å, degrees): 9.566 9.566 7.805 90.00 90.00 120.00
Fractional coordinates of all 16 atoms:
Ba  0.000  0.257  0.250
Ba  0.000  0.743  0.750
Ba  0.257  0.000  0.250
Ba  0.257  0.257  0.750
Ba  0.333  0.667  0.000
Ba  0.333  0.667  0.500
Ba  0.667  0.333  0.000
Ba  0.667  0.333  0.500
Ba  0.743  0.000  0.750
Ba  0.743  0.743  0.250
As  0.000  0.393  0.750
As  0.000  0.607  0.250
As  0.393  0.000  0.750
As  0.393  0.393  0.250
As  0.607  0.000  0.250
As  0.607  0.607  0.750


Entry 5:
Starting from a crystal structure in the Materials Project, relaxed with GGA-PBE, the X-ray diffraction stick pattern of BaAs2 was calculated for CuKα.
Lines closer than 0.1° are merged.

Most intense lines, 2θ from 15° to 90°, in order of falling intensity:
- 28.43°, rel. 100, (2 1 -2)
- 25.02°, rel. 47, (0 3 1)
- 30.96°, rel. 34, (1 2 1)
- 31.22°, rel. 25, (0 4 1)
- 34.56°, rel. 16, (2 1 -3)
- 32.78°, rel. 15, (1 4 0)
- 36.84°, rel. 14, (2 2 0)
- 36.72°, rel. 12, (2 2 -3)
- 40.06°, rel. 11, (1 3 -3)
- 45.21°, rel. 11, (0 5 2)

Cell and atoms:
Lattice parameters (Å, degrees): 6.685 12.773 8.214 90.00 127.84 90.00
Fractional coordinates of all 18 atoms:
Ba  0.000  0.076  0.000
Ba  0.000  0.924  0.500
Ba  0.279  0.273  0.571
Ba  0.279  0.727  0.071
Ba  0.551  0.418  0.203
Ba  0.551  0.582  0.703
As  0.101  0.485  0.242
As  0.101  0.515  0.742
As  0.433  0.076  0.908
As  0.433  0.924  0.408
As  0.575  0.110  0.462
As  0.575  0.890  0.962
As  0.722  0.156  0.252
As  0.722  0.844  0.752
As  0.846  0.342  0.999
As  0.846  0.658  0.499
As  0.898  0.348  0.713
As  0.898  0.652  0.213